Computed XRD peak list of CsK2MnO4 for a wavelength of 1.5418 Å, from a PBE+U-relaxed structure.

Structural model:
Cell: 9.115 9.202 7.922 Å, 90.00 90.00 90.00°
Space group Fmm2 (No. 42)
Asymmetric unit:
Cs 0.000 0.000 0.000 [4 per cell]
K 0.250 0.250 0.251 [8 per cell]
Mn 0.000 0.000 0.499 [4 per cell]
O 0.000 0.155 0.622 [8 per cell]
O 0.156 0.000 0.375 [8 per cell]

Most intense lines, 10 to 80 degrees two-theta, low angle first:
2θ = 19.29°, I 31, (0 2 0); 2θ = 19.48°, I 30, (2 0 0); 2θ = 27.55°, I 97, (2 2 0); 2θ = 29.76°, I 99, (0 2 2); 2θ = 29.89°, I 100, (2 0 2); 2θ = 39.16°, I 24, (0 4 0); 2θ = 39.55°, I 23, (4 0 0); 2θ = 50.03°, I 42, (2 4 2); 2θ = 50.27°, I 41, (4 2 2); 2θ = 54.30°, I 38, (2 2 4)